Diffraction record for SrV2CuO7. The powder diffractogram is simulated, not measured: it uses a crystal structure in Alexandria, relaxed with PBE+U and Cu Kα X-rays.
Kinematic intensities with the Lorentz-polarization factor, no thermal factor.

Crystal structure
abc: 3.769 3.769 18.059
angles: 90.00 90.00 90.00
Space group I-4m2 (No. 119)
Symmetry-distinct sites (fractional):
1 Sr 0.000 0.000 0.000 (multiplicity 2)
2 V 0.000 0.000 0.386 (multiplicity 4)
3 Cu 0.000 0.500 0.250 (multiplicity 2)
4 O 0.000 0.000 0.286 (multiplicity 4)
5 O 0.000 0.000 0.500 (multiplicity 2)
6 O 0.000 0.500 0.109 (multiplicity 4)
7 O 0.000 0.500 0.603 (multiplicity 4)

Main lines, in order of rising 2θ (2θ from 10° to 80°):
h k l, 2θ/deg, d (Å), I (rel.)
1 0 1, 24.12, 3.689, 28
1 0 3, 27.93, 3.194, 100
1 0 5, 34.39, 2.608, 46
1 1 2, 35.11, 2.556, 41
0 0 8, 39.94, 2.257, 29
2 0 0, 48.30, 1.884, 51